Entry 1:
# RbCaPb6
Calculated X-ray powder pattern, Cu Kα (λ = 1.5418 Å). Input: a DFT-relaxed cell (GGA-PBE, Alexandria).
Neutral-atom scattering factors, no anomalous dispersion.

Cell and atoms:
a b c (Å): 5.7224 7.4751 6.2641
angles (deg): 90.00 90.00 90.00
Element x y z (fractional)
Rb (0.0000, 0.0000, 0.0000)
Ca (0.5000, 0.5000, 0.3136)
Pb (0.0000, 0.2790, 0.4999)
Pb (0.0000, 0.5000, 0.9982)
Pb (0.0000, 0.7210, 0.4999)
Pb (0.5000, 0.0000, 0.4139)
Pb (0.5000, 0.2856, 0.8214)
Pb (0.5000, 0.7144, 0.8214)

Largest 10 diffraction maxima, in order of rising 2θ, 2θ from 10° to 90°:
2θ 18.48, rel. 11; 2θ 27.80, rel. 18; 2θ 28.50, rel. 14; 2θ 31.26, rel. 38; 2θ 31.97, rel. 100; 2θ 32.59, rel. 40; 2θ 42.32, rel. 12; 2θ 50.04, rel. 14; 2θ 56.09, rel. 21; 2θ 60.19, rel. 16


Entry 2:
# RbCaPb
Calculated X-ray powder pattern, Cu Kα (λ = 1.5418 Å). Input: a DFT-relaxed cell (GGA-PBE, Alexandria).
Neutral-atom scattering factors, no anomalous dispersion.

Cell and atoms:
a b c (Å): 8.0143 8.0143 8.0143
angles (deg): 149.53 149.53 43.64
Element x y z (fractional)
Rb (0.0000, 0.0000, 0.0000)
Ca (0.2660, 0.2660, 0.0000)
Pb (0.6749, 0.6749, 0.0000)

Largest 10 diffraction maxima, in order of rising 2θ, 2θ from 10° to 90°:
2θ 11.89, rel. 56; 2θ 21.93, rel. 37; 2θ 27.78, rel. 100; 2θ 30.00, rel. 51; 2θ 32.37, rel. 22; 2θ 36.98, rel. 20; 2θ 38.73, rel. 16; 2θ 42.94, rel. 19; 2θ 47.72, rel. 16; 2θ 51.92, rel. 36


Entry 3:
# Ca2RePb
Calculated X-ray powder pattern, Cu Kα (λ = 1.5418 Å). Input: a DFT-relaxed cell (GGA-PBE, Alexandria).
Neutral-atom scattering factors, no anomalous dispersion.

Cell and atoms:
a b c (Å): 5.0929 5.0929 5.0929
angles (deg): 60.00 60.00 60.00
Element x y z (fractional)
Ca (0.0000, 0.0000, 0.0000)
Ca (0.2500, 0.2500, 0.2500)
Re (0.7500, 0.7500, 0.7500)
Pb (0.5000, 0.5000, 0.5000)

Largest 10 diffraction maxima, in order of rising 2θ, 2θ from 10° to 90°:
2θ 21.37, rel. 46; 2θ 35.24, rel. 100; 2θ 41.59, rel. 27; 2θ 50.70, rel. 18; 2θ 55.62, rel. 12; 2θ 63.25, rel. 36; 2θ 67.58, rel. 9; 2θ 74.53, rel. 11; 2θ 78.58, rel. 9; 2θ 85.21, rel. 16


Entry 4:
# Ca2RhPb
Calculated X-ray powder pattern, Cu Kα (λ = 1.5418 Å). Input: a DFT-relaxed cell (GGA-PBE, Alexandria).
Neutral-atom scattering factors, no anomalous dispersion.

Cell and atoms:
a b c (Å): 3.3976 3.4646 8.5302
angles (deg): 90.00 90.00 90.00
Element x y z (fractional)
Ca (0.0000, 0.0000, 0.2024)
Ca (0.0000, 0.0000, 0.7976)
Rh (0.5000, 0.5000, 0.0000)
Pb (0.5000, 0.5000, 0.5000)

Largest 10 diffraction maxima, in order of rising 2θ, 2θ from 10° to 90°:
2θ 20.83, rel. 62; 2θ 25.71, rel. 33; 2θ 26.23, rel. 32; 2θ 33.32, rel. 100; 2θ 33.73, rel. 97; 2θ 37.06, rel. 81; 2θ 42.89, rel. 41; 2θ 57.54, rel. 34; 2θ 64.18, rel. 30; 2θ 64.93, rel. 28


Entry 5:
# Ca2Rh4Pb3
Calculated X-ray powder pattern, Cu Kα (λ = 1.5418 Å). Input: a DFT-relaxed cell (GGA-PBE, Alexandria).
Neutral-atom scattering factors, no anomalous dispersion.

Cell and atoms:
a b c (Å): 8.9480 8.9480 7.3494
angles (deg): 90.00 90.00 139.10
Element x y z (fractional)
Ca (0.0984, 0.9016, 0.9167)
Ca (0.4016, 0.5984, 0.4167)
Ca (0.5984, 0.4016, 0.5833)
Ca (0.9016, 0.0984, 0.0833)
Rh (0.1656, 0.8344, 0.5278)
Rh (0.1763, 0.3237, 0.7500)
Rh (0.3237, 0.1763, 0.2500)
Rh (0.3344, 0.6656, 0.0278)
Rh (0.6656, 0.3344, 0.9722)
Rh (0.6763, 0.8237, 0.7500)
Rh (0.8237, 0.6763, 0.2500)
Rh (0.8344, 0.1656, 0.4722)
Pb (0.0000, 0.0000, 0.5000)
Pb (0.0137, 0.4863, 0.7500)
Pb (0.4863, 0.0137, 0.2500)
Pb (0.5000, 0.5000, 0.0000)
Pb (0.5137, 0.9863, 0.7500)
Pb (0.9863, 0.5137, 0.2500)

Largest 10 diffraction maxima, in order of rising 2θ, 2θ from 10° to 90°:
2θ 19.38, rel. 57; 2θ 21.19, rel. 22; 2θ 26.48, rel. 34; 2θ 30.52, rel. 25; 2θ 32.66, rel. 37; 2θ 32.92, rel. 25; 2θ 37.78, rel. 100; 2θ 40.55, rel. 62; 2θ 43.43, rel. 48; 2θ 68.03, rel. 29


Entry 6:
# Ca3Rh2Pb2
Calculated X-ray powder pattern, Cu Kα (λ = 1.5418 Å). Input: a DFT-relaxed cell (GGA-PBE, Alexandria).
Neutral-atom scattering factors, no anomalous dispersion.

Cell and atoms:
a b c (Å): 5.9842 8.2102 14.3643
angles (deg): 90.00 90.00 90.00
Element x y z (fractional)
Ca (0.1126, 0.2459, 0.2500)
Ca (0.1126, 0.2541, 0.7500)
Ca (0.3366, 0.6031, 0.0918)
Ca (0.3366, 0.6031, 0.4082)
Ca (0.3366, 0.8969, 0.5918)
Ca (0.3366, 0.8969, 0.9082)
Ca (0.6634, 0.1031, 0.0918)
Ca (0.6634, 0.1031, 0.4082)
Ca (0.6634, 0.3969, 0.5918)
Ca (0.6634, 0.3969, 0.9082)
Ca (0.8874, 0.7459, 0.2500)
Ca (0.8874, 0.7541, 0.7500)
Rh (0.1340, 0.5409, 0.5925)
Rh (0.1340, 0.5409, 0.9075)
Rh (0.1340, 0.9591, 0.0925)
Rh (0.1340, 0.9591, 0.4075)
Rh (0.8660, 0.0409, 0.5925)
Rh (0.8660, 0.0409, 0.9075)
Rh (0.8660, 0.4591, 0.0925)
Rh (0.8660, 0.4591, 0.4075)
Pb (0.1561, 0.2500, 0.0000)
Pb (0.1561, 0.2500, 0.5000)
Pb (0.3866, 0.5976, 0.7500)
Pb (0.3866, 0.9024, 0.2500)
Pb (0.6134, 0.0976, 0.7500)
Pb (0.6134, 0.4024, 0.2500)
Pb (0.8439, 0.7500, 0.0000)
Pb (0.8439, 0.7500, 0.5000)

Largest 10 diffraction maxima, in order of rising 2θ, 2θ from 10° to 90°:
2θ 19.33, rel. 100; 2θ 22.16, rel. 38; 2θ 22.53, rel. 22; 2θ 31.83, rel. 27; 2θ 32.39, rel. 35; 2θ 36.09, rel. 43; 2θ 36.48, rel. 25; 2θ 37.08, rel. 56; 2θ 40.76, rel. 30; 2θ 46.75, rel. 35


Entry 7:
# CaPb4S5
Calculated X-ray powder pattern, Cu Kα (λ = 1.5418 Å). Input: a DFT-relaxed cell (GGA-PBE, Alexandria).
Neutral-atom scattering factors, no anomalous dispersion.

Cell and atoms:
a b c (Å): 7.2892 7.2892 7.2892
angles (deg): 99.61 99.61 131.78
Element x y z (fractional)
Ca (0.0000, 0.0000, 0.0000)
Pb (0.2014, 0.3982, 0.5995)
Pb (0.3982, 0.7986, 0.1968)
Pb (0.6018, 0.2014, 0.8032)
Pb (0.7986, 0.6018, 0.4005)
S (0.0984, 0.7111, 0.8096)
S (0.2889, 0.0984, 0.3873)
S (0.5000, 0.5000, 0.0000)
S (0.7111, 0.9016, 0.6127)
S (0.9016, 0.2889, 0.1904)

Largest 10 diffraction maxima, in order of rising 2θ, 2θ from 10° to 90°:
2θ 25.93, rel. 89; 2θ 30.03, rel. 100; 2θ 42.98, rel. 75; 2θ 50.88, rel. 46; 2θ 53.31, rel. 26; 2θ 62.41, rel. 12; 2θ 68.74, rel. 19; 2θ 70.79, rel. 34; 2θ 78.76, rel. 26; 2θ 84.60, rel. 16


Entry 8:
# Ca2SnPbS4
Calculated X-ray powder pattern, Cu Kα (λ = 1.5418 Å). Input: a DFT-relaxed cell (GGA-PBE, Alexandria).
Neutral-atom scattering factors, no anomalous dispersion.

Cell and atoms:
a b c (Å): 7.1250 4.1147 7.2091
angles (deg): 90.00 109.25 90.00
Element x y z (fractional)
Ca (0.0000, 0.0000, 0.0000)
Ca (0.5000, 0.5000, 0.0000)
Sn (0.0000, 0.5000, 0.5000)
Pb (0.5000, 0.0000, 0.5000)
S (0.2422, 0.5000, 0.2351)
S (0.2514, 0.0000, 0.7627)
S (0.7486, 0.0000, 0.2373)
S (0.7578, 0.5000, 0.7649)

Largest 10 diffraction maxima, in order of rising 2θ, 2θ from 10° to 90°:
2θ 13.01, rel. 39; 2θ 25.37, rel. 34; 2θ 26.50, rel. 36; 2θ 30.60, rel. 100; 2θ 33.37, rel. 18; 2θ 43.62, rel. 36; 2θ 44.02, rel. 36; 2θ 54.56, rel. 19; 2θ 72.03, rel. 16; 2θ 72.61, rel. 16


Entry 9:
# CaSbPb2
Calculated X-ray powder pattern, Cu Kα (λ = 1.5418 Å). Input: a DFT-relaxed cell (GGA-PBE, Alexandria).
Neutral-atom scattering factors, no anomalous dispersion.

Cell and atoms:
a b c (Å): 6.7067 6.7067 4.9827
angles (deg): 111.62 111.62 36.44
Element x y z (fractional)
Ca (0.0000, 0.0000, 0.0000)
Sb (0.5000, 0.5000, 0.5000)
Pb (0.2201, 0.2201, 0.7202)
Pb (0.7799, 0.7799, 0.2798)

Largest 10 diffraction maxima, in order of rising 2θ, 2θ from 10° to 90°:
2θ 15.09, rel. 21; 2θ 19.35, rel. 13; 2θ 27.80, rel. 14; 2θ 30.45, rel. 20; 2θ 31.26, rel. 16; 2θ 31.78, rel. 100; 2θ 36.05, rel. 20; 2θ 43.14, rel. 12; 2θ 62.12, rel. 12; 2θ 62.22, rel. 12


Entry 10:
# CaSc2Pb
Calculated X-ray powder pattern, Cu Kα (λ = 1.5418 Å). Input: a DFT-relaxed cell (GGA-PBE, Alexandria).
Neutral-atom scattering factors, no anomalous dispersion.

Cell and atoms:
a b c (Å): 3.5531 4.4811 6.8185
angles (deg): 90.00 90.00 90.00
Element x y z (fractional)
Ca (0.0000, 0.0000, 0.0000)
Sc (0.0000, 0.0000, 0.4993)
Sc (0.5000, 0.5000, 0.7159)
Pb (0.5000, 0.5000, 0.2638)

Largest 10 diffraction maxima, in order of rising 2θ, 2θ from 10° to 90°:
2θ 12.98, rel. 90; 2θ 19.81, rel. 36; 2θ 23.76, rel. 47; 2θ 28.32, rel. 31; 2θ 32.15, rel. 100; 2θ 33.01, rel. 89; 2θ 34.81, rel. 38; 2θ 36.53, rel. 68; 2θ 55.47, rel. 39; 2θ 64.03, rel. 31


Entry 11:
# Ca3PbSe4
Calculated X-ray powder pattern, Cu Kα (λ = 1.5418 Å). Input: a DFT-relaxed cell (GGA-PBE, Alexandria).
Neutral-atom scattering factors, no anomalous dispersion.

Cell and atoms:
a b c (Å): 4.2603 6.0341 8.5556
angles (deg): 90.00 90.00 90.00
Element x y z (fractional)
Ca (0.0000, 0.0000, 0.0000)
Ca (0.5000, 0.5000, 0.2476)
Ca (0.5000, 0.5000, 0.7524)
Pb (0.0000, 0.0000, 0.5000)
Se (0.0000, 0.5000, 0.0000)
Se (0.0000, 0.5000, 0.5000)
Se (0.5000, 0.0000, 0.2395)
Se (0.5000, 0.0000, 0.7605)

Largest 10 diffraction maxima, in order of rising 2θ, 2θ from 10° to 90°:
2θ 10.34, rel. 17; 2θ 29.60, rel. 100; 2θ 42.25, rel. 12; 2θ 42.37, rel. 62; 2θ 52.44, rel. 13; 2θ 52.59, rel. 13; 2θ 61.44, rel. 12; 2θ 69.67, rel. 22; 2θ 77.36, rel. 12; 2θ 77.57, rel. 12


Entry 12:
# CaSiPbSe4
Calculated X-ray powder pattern, Cu Kα (λ = 1.5418 Å). Input: a DFT-relaxed cell (GGA-PBE, Alexandria).
Neutral-atom scattering factors, no anomalous dispersion.

Cell and atoms:
a b c (Å): 6.9628 6.9249 8.2746
angles (deg): 90.00 107.38 90.00
Element x y z (fractional)
Ca (0.2497, 0.2500, 0.0612)
Ca (0.7503, 0.7500, 0.9388)
Si (0.2333, 0.7500, 0.8088)
Si (0.7667, 0.2500, 0.1912)
Pb (0.2294, 0.2500, 0.5638)
Pb (0.7706, 0.7500, 0.4362)
Se (0.0065, 0.0023, 0.7540)
Se (0.0065, 0.4977, 0.7540)
Se (0.4096, 0.7500, 0.0879)
Se (0.4145, 0.7500, 0.6224)
Se (0.5855, 0.2500, 0.3776)
Se (0.5904, 0.2500, 0.9121)
Se (0.9935, 0.5023, 0.2460)
Se (0.9935, 0.9977, 0.2460)

Largest 10 diffraction maxima, in order of rising 2θ, 2θ from 10° to 90°:
2θ 11.20, rel. 35; 2θ 23.69, rel. 33; 2θ 25.74, rel. 35; 2θ 29.08, rel. 42; 2θ 29.54, rel. 91; 2θ 32.27, rel. 56; 2θ 32.33, rel. 46; 2θ 34.44, rel. 100; 2θ 37.52, rel. 38; 2θ 43.76, rel. 32